Diffraction record for RbTbScSe3. The powder X-ray diffraction pattern is calculated, not measured: it uses a cell relaxed with PBE and copper Kα.
Neutral-atom scattering factors, no anomalous dispersion.

Structure:
```
data_RbTbScSe3
_space_group_name_H-M_alt 'P 1'
_space_group_IT_number 1
_cell_length_a 9.289
_cell_length_b 4.390
_cell_length_c 10.338
_cell_angle_alpha 90.00
_cell_angle_beta 109.08
_cell_angle_gamma 90.00
loop_
_space_group_symop_operation_xyz
'x,y,z'
loop_
_atom_site_label
_atom_site_type_symbol
_atom_site_fract_x
_atom_site_fract_y
_atom_site_fract_z
_atom_site_occupancy
Rb1 Rb 0.211 0.250 0.227 1
Rb2 Rb 0.789 0.750 0.773 1
Tb1 Tb 0.337 0.750 0.867 1
Tb2 Tb 0.663 0.250 0.133 1
Sc1 Sc 0.088 0.250 0.609 1
Sc2 Sc 0.912 0.750 0.391 1
Se1 Se 0.121 0.250 0.866 1
Se2 Se 0.207 0.750 0.552 1
Se3 Se 0.468 0.750 0.156 1
Se4 Se 0.532 0.250 0.844 1
Se5 Se 0.793 0.250 0.448 1
Se6 Se 0.879 0.750 0.134 1
```

Peak list (10 most intense, 10 to 90 degrees two-theta, most intense first)
2θ/deg	I (rel.)
28.08	100
11.13	97
28.76	48
41.42	39
27.39	35
41.12	30
32.29	29
45.94	26
51.41	16
35.49	16



Diffraction record for Rb3TmSc2Se6. The powder X-ray diffraction pattern is calculated, not measured: it uses a cell relaxed with PBE and copper Kα.
Neutral-atom scattering factors, no anomalous dispersion.

Structure:
```
data_Rb3TmSc2Se6
_space_group_name_H-M_alt 'P 1'
_space_group_IT_number 1
_cell_length_a 7.091
_cell_length_b 7.091
_cell_length_c 8.285
_cell_angle_alpha 98.21
_cell_angle_beta 98.21
_cell_angle_gamma 120.00
loop_
_space_group_symop_operation_xyz
'x,y,z'
loop_
_atom_site_label
_atom_site_type_symbol
_atom_site_fract_x
_atom_site_fract_y
_atom_site_fract_z
_atom_site_occupancy
Rb1 Rb 0.000 0.000 0.000 1
Rb2 Rb 0.335 0.665 0.000 1
Rb3 Rb 0.665 0.335 0.000 1
Tm1 Tm 0.500 0.500 0.500 1
Sc1 Sc 0.167 0.833 0.500 1
Sc2 Sc 0.833 0.167 0.500 1
Se1 Se 0.095 0.437 0.311 1
Se2 Se 0.221 0.221 0.688 1
Se3 Se 0.437 0.095 0.311 1
Se4 Se 0.563 0.905 0.689 1
Se5 Se 0.779 0.779 0.312 1
Se6 Se 0.905 0.563 0.689 1
```

Peak list (10 most intense, 10 to 90 degrees two-theta, most intense first)
2θ/deg	I (rel.)
29.32	100
44.25	35
39.52	30
53.96	17
72.26	14
11.14	12
36.60	9
60.81	8
31.45	8
78.23	8



Diffraction record for Rb3Sc3USe8. The powder X-ray diffraction pattern is calculated, not measured: it uses a cell relaxed with PBE and copper Kα.
Neutral-atom scattering factors, no anomalous dispersion.

Structure:
```
data_Rb3Sc3USe8
_space_group_name_H-M_alt 'P 1'
_space_group_IT_number 1
_cell_length_a 9.326
_cell_length_b 9.326
_cell_length_c 9.326
_cell_angle_alpha 51.13
_cell_angle_beta 51.13
_cell_angle_gamma 51.13
loop_
_space_group_symop_operation_xyz
'x,y,z'
loop_
_atom_site_label
_atom_site_type_symbol
_atom_site_fract_x
_atom_site_fract_y
_atom_site_fract_z
_atom_site_occupancy
Rb1 Rb 0.000 0.500 0.500 1
Rb2 Rb 0.500 0.000 0.500 1
Rb3 Rb 0.500 0.500 0.000 1
Sc1 Sc 0.000 0.000 0.500 1
Sc2 Sc 0.000 0.500 0.000 1
Sc3 Sc 0.500 0.000 0.000 1
U1 U 0.500 0.500 0.500 1
Se1 Se 0.219 0.734 0.734 1
Se2 Se 0.228 0.228 0.228 1
Se3 Se 0.266 0.266 0.781 1
Se4 Se 0.266 0.781 0.266 1
Se5 Se 0.734 0.219 0.734 1
Se6 Se 0.734 0.734 0.219 1
Se7 Se 0.772 0.772 0.772 1
Se8 Se 0.781 0.266 0.266 1
```

Peak list (10 most intense, 10 to 90 degrees two-theta, most intense first)
2θ/deg	I (rel.)
29.56	100
45.05	36
10.94	30
39.38	30
13.21	28
54.81	17
24.71	16
36.56	15
73.57	14
22.33	11



Diffraction record for RbScSi. The powder X-ray diffraction pattern is calculated, not measured: it uses a cell relaxed with PBE and copper Kα.
Neutral-atom scattering factors, no anomalous dispersion.

Structure:
```
data_RbScSi
_space_group_name_H-M_alt 'P 1'
_space_group_IT_number 1
_cell_length_a 4.910
_cell_length_b 4.910
_cell_length_c 7.935
_cell_angle_alpha 90.00
_cell_angle_beta 90.00
_cell_angle_gamma 90.00
loop_
_space_group_symop_operation_xyz
'x,y,z'
loop_
_atom_site_label
_atom_site_type_symbol
_atom_site_fract_x
_atom_site_fract_y
_atom_site_fract_z
_atom_site_occupancy
Rb1 Rb 0.250 0.250 0.131 1
Rb2 Rb 0.750 0.750 0.869 1
Sc1 Sc 0.250 0.750 0.500 1
Sc2 Sc 0.750 0.250 0.500 1
Si1 Si 0.250 0.250 0.656 1
Si2 Si 0.750 0.750 0.344 1
```

Peak list (10 most intense, 10 to 90 degrees two-theta, most intense first)
2θ/deg	I (rel.)
28.93	100
28.05	65
36.60	52
47.31	49
53.18	30
25.66	26
21.28	25
34.32	19
78.17	19
52.73	17



Diffraction record for Rb2ZrScTc. The powder X-ray diffraction pattern is calculated, not measured: it uses a cell relaxed with PBE and copper Kα.
Neutral-atom scattering factors, no anomalous dispersion.

Structure:
```
data_Rb2ZrScTc
_space_group_name_H-M_alt 'P 1'
_space_group_IT_number 1
_cell_length_a 6.500
_cell_length_b 6.500
_cell_length_c 4.713
_cell_angle_alpha 90.00
_cell_angle_beta 90.00
_cell_angle_gamma 90.00
loop_
_space_group_symop_operation_xyz
'x,y,z'
loop_
_atom_site_label
_atom_site_type_symbol
_atom_site_fract_x
_atom_site_fract_y
_atom_site_fract_z
_atom_site_occupancy
Rb1 Rb 0.000 0.500 0.000 1
Rb2 Rb 0.500 0.000 0.000 1
Zr1 Zr 0.000 0.000 0.500 1
Sc1 Sc 0.500 0.500 0.500 1
Tc1 Tc 0.500 0.500 0.000 1
```

Peak list (10 most intense, 10 to 90 degrees two-theta, most intense first)
2θ/deg	I (rel.)
27.44	100
27.10	54
47.67	42
23.31	39
39.20	38
55.88	26
36.31	25
48.31	21
38.19	20
77.10	20



Diffraction record for Rb3Sc2Te4. The powder X-ray diffraction pattern is calculated, not measured: it uses a cell relaxed with PBE and copper Kα.
Neutral-atom scattering factors, no anomalous dispersion.

Structure:
```
data_Rb3Sc2Te4
_space_group_name_H-M_alt 'P 1'
_space_group_IT_number 1
_cell_length_a 8.716
_cell_length_b 8.716
_cell_length_c 11.202
_cell_angle_alpha 120.24
_cell_angle_beta 120.24
_cell_angle_gamma 32.67
loop_
_space_group_symop_operation_xyz
'x,y,z'
loop_
_atom_site_label
_atom_site_type_symbol
_atom_site_fract_x
_atom_site_fract_y
_atom_site_fract_z
_atom_site_occupancy
Rb1 Rb 0.000 0.000 0.000 1
Rb2 Rb 0.369 0.369 0.245 1
Rb3 Rb 0.631 0.631 0.755 1
Sc1 Sc 0.309 0.309 0.632 1
Sc2 Sc 0.691 0.691 0.368 1
Te1 Te 0.113 0.113 0.406 1
Te2 Te 0.315 0.315 0.879 1
Te3 Te 0.685 0.685 0.121 1
Te4 Te 0.887 0.887 0.594 1
```

Peak list (10 most intense, 10 to 90 degrees two-theta, most intense first)
2θ/deg	I (rel.)
24.18	100
23.93	72
29.07	50
38.87	42
26.13	35
36.66	31
44.26	27
36.50	19
48.41	18
25.01	13